(1)
This entry pairs a crystal structure of Th7Te2Ru2 with its computed X-ray powder pattern. Radiation: copper Kα. Structure: the PBE geometry in Alexandria.
Kinematic intensities with the Lorentz-polarization factor, no thermal factor.

Principal peaks in the range 5° ≤ 2θ ≤ 70°, in order of rising 2θ:
2θ = 11.17°, intensity 70, hkl 0 0 1
2θ = 13.21°, intensity 33, hkl 1 1 0
2θ = 18.85°, intensity 35, hkl 0 2 1
2θ = 26.61°, intensity 41, hkl 2 2 0
2θ = 27.65°, intensity 35, hkl 2 0 -2
2θ = 30.56°, intensity 68, hkl 0 4 0
2θ = 30.81°, intensity 100, hkl 2 2 1
2θ = 31.67°, intensity 56, hkl 2 2 -2
2θ = 33.18°, intensity 41, hkl 3 1 -1
2θ = 33.96°, intensity 35, hkl 0 0 3

Structural model:
a = 8.3897 Å, b = 11.7001 Å, c = 8.1231 Å
α = 90.00°, β = 102.86°, γ = 90.00°
Space group C2/m (No. 12)
Inequivalent atoms, fractional coordinates:
Th 0.0000 0.0000 0.0000 (multiplicity 2)
Th 0.0847 0.5000 0.8065 (multiplicity 4)
Th 0.1936 0.2734 0.1968 (multiplicity 8)
Te 0.0000 0.3034 0.5000 (multiplicity 4)
Ru 0.2346 0.5000 0.1558 (multiplicity 4)

***

(2)
This entry pairs a crystal structure of Th4Te5Ru2 with its computed X-ray powder pattern. Radiation: copper Kα. Structure: the PBE geometry in Alexandria.
Kinematic intensities with the Lorentz-polarization factor, no thermal factor.

Principal peaks in the range 5° ≤ 2θ ≤ 70°, in order of rising 2θ:
2θ = 7.78°, intensity 75, hkl 0 0 1
2θ = 12.39°, intensity 42, hkl 1 0 -1
2θ = 16.91°, intensity 28, hkl 1 0 -2
2θ = 29.27°, intensity 32, hkl 1 0 3
2θ = 31.84°, intensity 70, hkl 1 1 2
2θ = 32.67°, intensity 87, hkl 1 1 -3
2θ = 33.23°, intensity 100, hkl 2 1 0
2θ = 37.77°, intensity 29, hkl 3 0 -3
2θ = 39.69°, intensity 32, hkl 0 0 5
2θ = 46.10°, intensity 37, hkl 0 2 0

Structural model:
a = 7.6839 Å, b = 3.9396 Å, c = 11.7989 Å
α = 90.00°, β = 105.71°, γ = 90.00°
Space group P2/m (No. 10)
Inequivalent atoms, fractional coordinates:
Th 0.2048 0.0000 0.4244 (multiplicity 2)
Th 0.2692 0.0000 0.7987 (multiplicity 2)
Te 0.0509 0.5000 0.1840 (multiplicity 2)
Te 0.4562 0.5000 0.6440 (multiplicity 2)
Te 0.5000 0.5000 0.0000 (multiplicity 1)
Ru 0.0786 0.5000 0.6209 (multiplicity 2)

***

(3)
This entry pairs a crystal structure of Th5Te4Ru with its computed X-ray powder pattern. Radiation: copper Kα. Structure: the PBE geometry in Alexandria.
Kinematic intensities with the Lorentz-polarization factor, no thermal factor.

Principal peaks in the range 5° ≤ 2θ ≤ 70°, in order of rising 2θ:
2θ = 24.62°, intensity 16, hkl 1 2 1
2θ = 28.51°, intensity 100, hkl 0 0 2
2θ = 30.63°, intensity 6, hkl 3 0 1
2θ = 35.72°, intensity 11, hkl 2 3 1
2θ = 40.75°, intensity 70, hkl 3 1 2
2θ = 50.49°, intensity 23, hkl 2 4 2
2θ = 58.65°, intensity 7, hkl 6 1 1
2θ = 61.86°, intensity 6, hkl 5 4 1
2θ = 66.70°, intensity 12, hkl 3 1 4
2θ = 66.87°, intensity 13, hkl 6 2 2

Structural model:
a = 9.8903 Å, b = 9.8903 Å, c = 6.2750 Å
α = 90.00°, β = 90.00°, γ = 90.00°
Space group I4/m (No. 87)
Inequivalent atoms, fractional coordinates:
Th 0.0000 0.0000 0.0000 (multiplicity 2)
Th 0.0992 0.7380 0.5000 (multiplicity 8)
Te 0.0823 0.6869 0.0000 (multiplicity 8)
Ru 0.0000 0.0000 0.5000 (multiplicity 2)

***

(4)
This entry pairs a crystal structure of Tm8Te2Ru3 with its computed X-ray powder pattern. Radiation: copper Kα. Structure: the PBE geometry in Alexandria.
Kinematic intensities with the Lorentz-polarization factor, no thermal factor.

Principal peaks in the range 5° ≤ 2θ ≤ 70°, in order of rising 2θ:
2θ = 11.71°, intensity 16, hkl 1 0 -1
2θ = 23.54°, intensity 9, hkl 2 0 -2
2θ = 26.27°, intensity 21, hkl 1 1 1
2θ = 35.57°, intensity 100, hkl 3 1 -1
2θ = 37.34°, intensity 25, hkl 2 0 2
2θ = 37.65°, intensity 24, hkl 0 2 0
2θ = 44.83°, intensity 18, hkl 4 1 -2
2θ = 54.07°, intensity 17, hkl 2 2 2
2θ = 66.20°, intensity 15, hkl 5 1 1
2θ = 66.61°, intensity 15, hkl 3 3 -1

Structural model:
a = 8.9603 Å, b = 4.7785 Å, c = 8.9629 Å
α = 90.00°, β = 114.98°, γ = 90.00°
Space group P2/m (No. 10)
Inequivalent atoms, fractional coordinates:
Tm 0.1040 0.0000 0.3959 (multiplicity 2)
Tm 0.1499 0.5000 0.8623 (multiplicity 2)
Tm 0.3617 0.5000 0.6501 (multiplicity 2)
Tm 0.3917 0.0000 0.1085 (multiplicity 2)
Te 0.2418 0.5000 0.2589 (multiplicity 2)
Ru 0.2509 0.0000 0.7511 (multiplicity 2)
Ru 0.5000 0.5000 0.0000 (multiplicity 1)

***

(5)
This entry pairs a crystal structure of Tm6TeRu2 with its computed X-ray powder pattern. Radiation: copper Kα. Structure: the PBE geometry in Alexandria.
Kinematic intensities with the Lorentz-polarization factor, no thermal factor.

Principal peaks in the range 5° ≤ 2θ ≤ 70°, in order of rising 2θ:
2θ = 30.77°, intensity 29, hkl 3 1 0
2θ = 32.12°, intensity 100, hkl 2 2 2
2θ = 33.65°, intensity 56, hkl 2 1 3
2θ = 34.61°, intensity 75, hkl 1 3 2
2θ = 35.60°, intensity 57, hkl 2 3 1
2θ = 36.04°, intensity 35, hkl 3 2 1
2θ = 39.20°, intensity 29, hkl 3 0 3
2θ = 39.34°, intensity 57, hkl 4 0 0
2θ = 59.07°, intensity 20, hkl 2 5 3
2θ = 61.11°, intensity 33, hkl 5 3 2

Structural model:
a = 9.1607 Å, b = 9.4651 Å, c = 10.4690 Å
α = 90.00°, β = 90.00°, γ = 90.00°
Space group Immm (No. 71)
Inequivalent atoms, fractional coordinates:
Tm 0.0000 0.2081 0.2369 (multiplicity 8)
Tm 0.1860 0.5000 0.1666 (multiplicity 8)
Tm 0.2112 0.3216 0.5000 (multiplicity 8)
Te 0.0000 0.0000 0.0000 (multiplicity 2)
Te 0.0000 0.0000 0.5000 (multiplicity 2)
Ru 0.0000 0.3313 0.0000 (multiplicity 4)
Ru 0.0000 0.5000 0.3676 (multiplicity 4)

***

(6)
This entry pairs a crystal structure of Zn2TeRu with its computed X-ray powder pattern. Radiation: copper Kα. Structure: the PBE geometry in Alexandria.
Kinematic intensities with the Lorentz-polarization factor, no thermal factor.

Principal peaks in the range 5° ≤ 2θ ≤ 70°, in order of rising 2θ:
2θ = 24.41°, intensity 9, hkl 1 0 1
2θ = 38.30°, intensity 100, hkl 1 1 2
2θ = 40.12°, intensity 2, hkl 1 0 3
2θ = 44.32°, intensity 33, hkl 2 0 0
2θ = 44.92°, intensity 16, hkl 0 0 4
2θ = 51.24°, intensity 2, hkl 2 1 1
2θ = 61.30°, intensity 1, hkl 2 1 3
2θ = 61.78°, intensity 1, hkl 1 0 5
2θ = 64.47°, intensity 10, hkl 2 2 0
2θ = 64.94°, intensity 20, hkl 2 0 4

Structural model:
a = 4.0877 Å, b = 4.0877 Å, c = 8.0724 Å
α = 90.00°, β = 90.00°, γ = 90.00°
Space group I-4m2 (No. 119)
Inequivalent atoms, fractional coordinates:
Zn 0.0000 0.0000 0.0000 (multiplicity 2)
Zn 0.0000 0.5000 0.2500 (multiplicity 2)
Te 0.0000 0.5000 0.7500 (multiplicity 2)
Ru 0.0000 0.0000 0.5000 (multiplicity 2)